PuTl2V3F12: theoretical powder diffraction line list (Cu Kα, 1.54184 Å), based on a structure optimized by DFT (PBE+U).

Peak list (6 most intense, 10° ≤ 2θ ≤ 90°, in order of rising 2θ)
- 3.876 Å, intensity 78
- 3.211 Å, intensity 100
- 3.061 Å, intensity 46
- 2.085 Å, intensity 36
- 2.042 Å, intensity 28
- 1.938 Å, intensity 36

Crystal structure
Cell: 7.273 7.273 7.273 Å, 64.42 64.42 64.42°
Fractional positions:
Pu  0.000  0.000  0.000
Tl  0.379  0.379  0.379
Tl  0.621  0.621  0.621
V  0.000  0.000  0.500
V  0.000  0.500  0.000
V  0.500  0.000  0.000
F  0.095  0.731  0.731
F  0.124  0.124  0.613
F  0.124  0.613  0.124
F  0.269  0.269  0.905
F  0.269  0.905  0.269
F  0.387  0.876  0.876
F  0.613  0.124  0.124
F  0.731  0.095  0.731
F  0.731  0.731  0.095
F  0.876  0.387  0.876
F  0.876  0.876  0.387
F  0.905  0.269  0.269